1.
This entry pairs a crystal structure of Ho6Cu2Os with its computed powder XRD pattern. Radiation: Cu Kα, 1.54184 Å. Structure: a cell relaxed with PBE.
Peak positions follow from Bragg's law for the DFT cell and can differ from measured ones.

a = 8.233 Å, b = 8.233 Å, c = 8.233 Å
α = 110.20°, β = 109.18°, γ = 109.04°
Fractional coordinates of all 18 atoms:
Ho 0.071 0.826 0.245
Ho 0.212 0.330 0.542
Ho 0.212 0.670 0.882
Ho 0.315 0.076 0.760
Ho 0.315 0.555 0.240
Ho 0.419 0.174 0.245
Ho 0.581 0.826 0.755
Ho 0.685 0.445 0.760
Ho 0.685 0.924 0.240
Ho 0.788 0.330 0.118
Ho 0.788 0.670 0.458
Ho 0.929 0.174 0.755
Cu 0.000 0.123 0.123
Cu 0.000 0.877 0.877
Cu 0.147 0.647 0.500
Cu 0.853 0.353 0.500
Os 0.500 0.000 0.500
Os 0.500 0.500 0.000

Main lines, by intensity (10° ≤ 2θ ≤ 90°):
- 2θ 32.6, intensity 1000
- 2θ 35.2, intensity 590
- 2θ 35.3, intensity 570
- 2θ 37.7, intensity 475
- 2θ 29.6, intensity 422
- 2θ 35.5, intensity 387
- 2θ 30.0, intensity 207
- 2θ 59.8, intensity 200
- 2θ 38.2, intensity 145
- 2θ 63.5, intensity 144

---

2.
This entry pairs a crystal structure of Ho4Cu3Os with its computed powder XRD pattern. Radiation: Cu Kα, 1.54184 Å. Structure: a cell relaxed with PBE.
Peak positions follow from Bragg's law for the DFT cell and can differ from measured ones.

a = 3.415 Å, b = 3.415 Å, c = 13.976 Å
α = 90.00°, β = 90.00°, γ = 90.00°
Fractional coordinates of all 8 atoms:
Ho 0.000 0.000 0.119
Ho 0.000 0.000 0.374
Ho 0.000 0.000 0.626
Ho 0.000 0.000 0.881
Cu 0.500 0.500 0.252
Cu 0.500 0.500 0.500
Cu 0.500 0.500 0.748
Os 0.500 0.500 0.000

Main lines, by intensity (10° ≤ 2θ ≤ 90°):
- 2θ 36.8, intensity 1000
- 2θ 37.2, intensity 488
- 2θ 66.9, intensity 345
- 2θ 66.0, intensity 174
- 2θ 53.7, intensity 169
- 2θ 78.3, intensity 107
- 2θ 52.4, intensity 88
- 2θ 88.7, intensity 77
- 2θ 26.1, intensity 73
- 2θ 79.4, intensity 53

---

3.
This entry pairs a crystal structure of Ho4Cu5P7 with its computed powder XRD pattern. Radiation: Cu Kα, 1.54184 Å. Structure: a cell relaxed with PBE.
Peak positions follow from Bragg's law for the DFT cell and can differ from measured ones.

a = 10.361 Å, b = 10.361 Å, c = 10.361 Å
α = 150.59°, β = 150.59°, γ = 42.07°
Fractional coordinates of all 16 atoms:
Ho 0.124 0.643 0.000
Ho 0.357 0.357 0.482
Ho 0.643 0.124 0.000
Ho 0.876 0.876 0.518
Cu 0.249 0.249 0.000
Cu 0.250 0.750 0.500
Cu 0.500 0.500 0.000
Cu 0.750 0.250 0.500
Cu 0.751 0.751 0.000
P 0.000 0.000 0.000
P 0.000 0.500 0.500
P 0.084 0.084 0.510
P 0.426 0.916 0.000
P 0.500 0.000 0.500
P 0.574 0.574 0.490
P 0.916 0.426 0.000

Main lines, by intensity (10° ≤ 2θ ≤ 90°):
- 2θ 39.0, intensity 1000
- 2θ 25.7, intensity 694
- 2θ 36.9, intensity 378
- 2θ 49.0, intensity 294
- 2θ 37.2, intensity 206
- 2θ 84.8, intensity 198
- 2θ 63.1, intensity 167
- 2θ 56.1, intensity 164
- 2θ 62.9, intensity 156
- 2θ 53.4, intensity 147